Entry 1:
EuIn8Ag4: calculated powder X-ray diffraction pattern (Cu Kα X-rays), based on the PBE geometry in the Materials Project.
Lines closer than 0.1° are merged.

Structural model:
Cell lengths 10.637, 10.637, 6.217 Å; angles 90.00, 90.00, 90.00 degrees
Space group I4/mmm (No. 139)
Symmetry-distinct sites (fractional):
Eu 0.000 0.000 0.000 x2
In 0.000 0.212 0.500 x8
In 0.000 0.347 0.000 x8
Ag 0.250 0.250 0.250 x8

Most intense lines, 2θ from 15° to 90°, by angle:
(hkl), Position (°2θ), I/Imax
0 0 2, 28.72, 11
3 0 1, 28.99, 30
2 0 2, 33.39, 45
4 0 0, 33.66, 100
2 2 2, 37.54, 40
4 2 0, 37.80, 33
3 2 3, 54.08, 16
6 0 2, 60.08, 20
6 3 1, 60.23, 15
4 0 4, 70.13, 8


Entry 2:
LaEuAg2: calculated powder X-ray diffraction pattern (Cu Kα X-rays), based on the PBE geometry in the Materials Project.
Lines closer than 0.1° are merged.

Structural model:
Cell lengths 7.671, 7.671, 7.671 Å; angles 90.00, 90.00, 90.00 degrees
Space group Fm-3m (No. 225)
Symmetry-distinct sites (fractional):
La 0.000 0.000 0.000 x4
Eu 0.000 0.000 0.500 x4
Ag 0.250 0.250 0.250 x8

Most intense lines, 2θ from 15° to 90°, by angle:
(hkl), Position (°2θ), I/Imax
2 0 0, 23.19, 2
2 2 0, 33.03, 100
2 2 2, 40.75, 1
4 0 0, 47.41, 18
4 2 0, 53.42, 1
4 2 2, 58.99, 37
4 4 0, 69.29, 11
6 0 0, 74.17, 1
6 2 0, 78.93, 16
4 4 4, 88.26, 4